This entry pairs a crystal structure of BaGaP2S8 with its simulated X-ray powder pattern. Radiation: Cu Kα (weighted mean of Kα1 and Kα2). Structure: a crystal structure in Alexandria, relaxed with GGA-PBE.
Intensities are scaled so that the largest is 100.

Peak list (8 most intense, 10° ≤ 2θ ≤ 90°, by angle)
17.20°, d = 5.155 Å, rel. 67, hkl 1 0 0; 26.37°, d = 3.380 Å, rel. 100, hkl 1 0 2; 29.99°, d = 2.980 Å, rel. 79, hkl 0 0 3; 31.68°, d = 2.824 Å, rel. 76, hkl 1 1 1; 36.24°, d = 2.478 Å, rel. 97, hkl 2 -1 2; 40.36°, d = 2.235 Å, rel. 43, hkl 0 0 4; 51.05°, d = 1.789 Å, rel. 50, hkl 1 1 4; 53.31°, d = 1.718 Å, rel. 44, hkl 3 0 0

Atomic structure:
a b c (Å): 5.9526 5.9526 8.9542
angles (deg): 90.00 90.00 120.00
Space group P-3 (No. 147)
Unique sites:
Ba1 0.0000 0.0000 0.0000 x1
Ga1 0.0000 0.0000 0.5000 x1
P1 0.3333 0.6667 0.7352 x2
S1 0.0017 0.3264 0.6757 x6
S2 0.3333 0.6667 0.9624 x2